1.
# TbEr3Sc2
Computed powder X-ray diffraction pattern, Cu Kα, 1.54184 Å. Input: a cell relaxed with PBE.

Crystal structure
```
data_TbEr3Sc2
_chemical_formula_sum 'Tb2 Er6 Sc4'
_symmetry_space_group_name_H-M 'P 1'
_symmetry_Int_Tables_number 1
_cell_length_a 11.341
_cell_length_b 11.341
_cell_length_c 9.818
_cell_angle_alpha 107.72
_cell_angle_beta 107.72
_cell_angle_gamma 17.10
loop_
_symmetry_equiv_pos_as_xyz
'x,y,z'
loop_
_atom_site_label
_atom_site_type_symbol
_atom_site_fract_x
_atom_site_fract_y
_atom_site_fract_z
Tb1 Tb 0.185 0.185 0.044
Tb2 Tb 0.815 0.815 0.956
Er1 Er 0.059 0.059 0.434
Er2 Er 0.197 0.197 0.708
Er3 Er 0.431 0.431 0.229
Er4 Er 0.569 0.569 0.771
Er5 Er 0.803 0.803 0.292
Er6 Er 0.941 0.941 0.566
Sc1 Sc 0.192 0.192 0.373
Sc2 Sc 0.429 0.429 0.861
Sc3 Sc 0.571 0.571 0.139
Sc4 Sc 0.808 0.808 0.627
```

The 12 most intense peaks (2θ = 10–80°), sorted by position:
| 2θ/deg | I_rel |
| --- | --- |
| 10.49 | 875 |
| 21.07 | 236 |
| 29.32 | 345 |
| 31.85 | 711 |
| 32.08 | 446 |
| 32.31 | 1000 |
| 33.40 | 220 |
| 33.60 | 626 |
| 33.87 | 523 |
| 38.53 | 267 |
| 38.63 | 225 |
| 64.46 | 215 |


2.
# Tb6ErSc2
Computed powder X-ray diffraction pattern, Cu Kα, 1.54184 Å. Input: a cell relaxed with PBE.

Crystal structure
```
data_Tb6ErSc2
_chemical_formula_sum 'Tb12 Er2 Sc4'
_symmetry_space_group_name_H-M 'P 1'
_symmetry_Int_Tables_number 1
_cell_length_a 11.642
_cell_length_b 11.642
_cell_length_c 5.511
_cell_angle_alpha 103.65
_cell_angle_beta 103.65
_cell_angle_gamma 48.32
loop_
_symmetry_equiv_pos_as_xyz
'x,y,z'
loop_
_atom_site_label
_atom_site_type_symbol
_atom_site_fract_x
_atom_site_fract_y
_atom_site_fract_z
Tb1 Tb 0.003 0.169 0.340
Tb2 Tb 0.080 0.580 0.080
Tb3 Tb 0.169 0.003 0.840
Tb4 Tb 0.330 0.498 0.667
Tb5 Tb 0.420 0.920 0.420
Tb6 Tb 0.498 0.330 0.167
Tb7 Tb 0.502 0.670 0.833
Tb8 Tb 0.580 0.080 0.580
Tb9 Tb 0.670 0.502 0.333
Tb10 Tb 0.831 0.997 0.160
Tb11 Tb 0.920 0.420 0.920
Tb12 Tb 0.997 0.831 0.660
Er1 Er 0.250 0.750 0.250
Er2 Er 0.750 0.250 0.750
Sc1 Sc 0.167 0.333 0.498
Sc2 Sc 0.333 0.167 0.998
Sc3 Sc 0.667 0.833 0.002
Sc4 Sc 0.833 0.667 0.502
```

The 12 most intense peaks (2θ = 10–80°), sorted by position:
| 2θ/deg | I_rel |
| --- | --- |
| 17.29 | 56 |
| 25.50 | 67 |
| 32.21 | 996 |
| 32.52 | 1000 |
| 46.43 | 361 |
| 53.59 | 78 |
| 57.83 | 375 |
| 58.03 | 190 |
| 64.11 | 270 |
| 68.12 | 117 |
| 77.33 | 106 |
| 77.42 | 54 |


3.
# Tb15ErSc4
Computed powder X-ray diffraction pattern, Cu Kα, 1.54184 Å. Input: a cell relaxed with PBE.

Crystal structure
```
data_Tb15ErSc4
_chemical_formula_sum 'Tb15 Er1 Sc4'
_symmetry_space_group_name_H-M 'P 1'
_symmetry_Int_Tables_number 1
_cell_length_a 4.951
_cell_length_b 4.951
_cell_length_c 24.664
_cell_angle_alpha 90.00
_cell_angle_beta 90.00
_cell_angle_gamma 90.00
loop_
_symmetry_equiv_pos_as_xyz
'x,y,z'
loop_
_atom_site_label
_atom_site_type_symbol
_atom_site_fract_x
_atom_site_fract_y
_atom_site_fract_z
Tb1 Tb 0.000 0.000 0.000
Tb2 Tb 0.000 0.000 0.202
Tb3 Tb 0.000 0.000 0.401
Tb4 Tb 0.000 0.000 0.599
Tb5 Tb 0.000 0.000 0.798
Tb6 Tb 0.000 0.500 0.103
Tb7 Tb 0.000 0.500 0.301
Tb8 Tb 0.000 0.500 0.500
Tb9 Tb 0.000 0.500 0.699
Tb10 Tb 0.000 0.500 0.897
Tb11 Tb 0.500 0.000 0.103
Tb12 Tb 0.500 0.000 0.301
Tb13 Tb 0.500 0.000 0.500
Tb14 Tb 0.500 0.000 0.699
Tb15 Tb 0.500 0.000 0.897
Er1 Er 0.500 0.500 0.000
Sc1 Sc 0.500 0.500 0.202
Sc2 Sc 0.500 0.500 0.401
Sc3 Sc 0.500 0.500 0.599
Sc4 Sc 0.500 0.500 0.798
```

The 12 most intense peaks (2θ = 10–80°), sorted by position:
| 2θ/deg | I_rel |
| --- | --- |
| 17.94 | 75 |
| 25.48 | 66 |
| 31.33 | 1000 |
| 36.29 | 338 |
| 36.43 | 166 |
| 44.90 | 30 |
| 52.26 | 119 |
| 52.37 | 234 |
| 62.21 | 279 |
| 62.40 | 135 |
| 65.38 | 119 |
| 77.05 | 38 |


4.
# Tb2ErSc3Te6
Computed powder X-ray diffraction pattern, Cu Kα, 1.54184 Å. Input: a cell relaxed with PBE.

Crystal structure
```
data_Tb2ErSc3Te6
_chemical_formula_sum 'Tb2 Er1 Sc3 Te6'
_symmetry_space_group_name_H-M 'P 1'
_symmetry_Int_Tables_number 1
_cell_length_a 9.532
_cell_length_b 9.532
_cell_length_c 8.551
_cell_angle_alpha 103.04
_cell_angle_beta 103.04
_cell_angle_gamma 25.76
loop_
_symmetry_equiv_pos_as_xyz
'x,y,z'
loop_
_atom_site_label
_atom_site_type_symbol
_atom_site_fract_x
_atom_site_fract_y
_atom_site_fract_z
Tb1 Tb 0.168 0.168 0.335
Tb2 Tb 0.832 0.832 0.665
Er1 Er 0.500 0.500 0.000
Sc1 Sc 0.169 0.169 0.832
Sc2 Sc 0.500 0.500 0.500
Sc3 Sc 0.831 0.831 0.168
Te1 Te 0.004 0.004 0.745
Te2 Te 0.332 0.332 0.927
Te3 Te 0.338 0.338 0.409
Te4 Te 0.662 0.662 0.591
Te5 Te 0.668 0.668 0.073
Te6 Te 0.996 0.996 0.255
```

The 12 most intense peaks (2θ = 10–80°), sorted by position:
| 2θ/deg | I_rel |
| --- | --- |
| 12.68 | 93 |
| 24.52 | 116 |
| 29.64 | 1000 |
| 42.28 | 123 |
| 42.42 | 493 |
| 42.54 | 125 |
| 52.52 | 66 |
| 52.71 | 131 |
| 61.54 | 119 |
| 69.78 | 214 |
| 77.41 | 95 |
| 77.75 | 120 |


5.
# Tb2Er6TmSc
Computed powder X-ray diffraction pattern, Cu Kα, 1.54184 Å. Input: a cell relaxed with PBE.

Crystal structure
```
data_Tb2Er6TmSc
_chemical_formula_sum 'Tb4 Er12 Tm2 Sc2'
_symmetry_space_group_name_H-M 'P 1'
_symmetry_Int_Tables_number 1
_cell_length_a 8.588
_cell_length_b 8.588
_cell_length_c 9.407
_cell_angle_alpha 94.27
_cell_angle_beta 94.27
_cell_angle_gamma 117.42
loop_
_symmetry_equiv_pos_as_xyz
'x,y,z'
loop_
_atom_site_label
_atom_site_type_symbol
_atom_site_fract_x
_atom_site_fract_y
_atom_site_fract_z
Tb1 Tb 0.199 0.301 0.046
Tb2 Tb 0.301 0.199 0.546
Tb3 Tb 0.699 0.801 0.454
Tb4 Tb 0.801 0.699 0.954
Er1 Er 0.010 0.569 0.189
Er2 Er 0.127 0.750 0.557
Er3 Er 0.250 0.873 0.943
Er4 Er 0.293 0.504 0.383
Er5 Er 0.431 0.990 0.311
Er6 Er 0.496 0.707 0.117
Er7 Er 0.504 0.293 0.883
Er8 Er 0.569 0.010 0.689
Er9 Er 0.707 0.496 0.617
Er10 Er 0.750 0.127 0.057
Er11 Er 0.873 0.250 0.443
Er12 Er 0.990 0.431 0.811
Tm1 Tm 0.020 0.980 0.250
Tm2 Tm 0.980 0.020 0.750
Sc1 Sc 0.411 0.589 0.750
Sc2 Sc 0.589 0.411 0.250
```

The 12 most intense peaks (2θ = 10–80°), sorted by position:
| 2θ/deg | I_rel |
| --- | --- |
| 28.52 | 164 |
| 29.32 | 412 |
| 31.14 | 563 |
| 31.30 | 384 |
| 32.13 | 412 |
| 32.29 | 1000 |
| 33.15 | 205 |
| 34.18 | 144 |
| 34.50 | 404 |
| 39.04 | 206 |
| 52.00 | 118 |
| 62.18 | 139 |


6.
# Tb2Er3Tm6Sc
Computed powder X-ray diffraction pattern, Cu Kα, 1.54184 Å. Input: a cell relaxed with PBE.

Crystal structure
```
data_Tb2Er3Tm6Sc
_chemical_formula_sum 'Tb2 Er3 Tm6 Sc1'
_symmetry_space_group_name_H-M 'P 1'
_symmetry_Int_Tables_number 1
_cell_length_a 6.031
_cell_length_b 6.031
_cell_length_c 11.562
_cell_angle_alpha 94.98
_cell_angle_beta 94.98
_cell_angle_gamma 119.94
loop_
_symmetry_equiv_pos_as_xyz
'x,y,z'
loop_
_atom_site_label
_atom_site_type_symbol
_atom_site_fract_x
_atom_site_fract_y
_atom_site_fract_z
Tb1 Tb 0.167 0.833 0.000
Tb2 Tb 0.833 0.167 0.000
Er1 Er 0.000 0.000 0.500
Er2 Er 0.334 0.666 0.500
Er3 Er 0.666 0.334 0.500
Tm1 Tm 0.086 0.418 0.751
Tm2 Tm 0.251 0.251 0.249
Tm3 Tm 0.418 0.086 0.751
Tm4 Tm 0.582 0.914 0.249
Tm5 Tm 0.749 0.749 0.751
Tm6 Tm 0.914 0.582 0.249
Sc1 Sc 0.500 0.500 0.000
```

The 12 most intense peaks (2θ = 10–80°), sorted by position:
| 2θ/deg | I_rel |
| --- | --- |
| 15.56 | 8 |
| 17.16 | 7 |
| 17.75 | 7 |
| 18.70 | 6 |
| 19.91 | 6 |
| 31.45 | 1000 |
| 36.47 | 505 |
| 52.53 | 357 |
| 62.47 | 36 |
| 62.52 | 387 |
| 65.64 | 122 |
| 77.49 | 57 |


Q: What is the formula in the second record?
A: Tb6ErSc2